Record 1
Structure and computed powder X-ray diffraction pattern of KYHg6 (the PBE geometry in Alexandria; Cu Kα (weighted mean of Kα1 and Kα2)).

Top 8 peaks for 10 to 90 degrees two-theta, in order of rising 2θ:
2θ = 30.12°, rel. 18, hkl 0 2 1
2θ = 31.47°, rel. 14, hkl 0 0 2
2θ = 33.73°, rel. 35, hkl 2 0 0
2θ = 34.62°, rel. 100, hkl 1 2 1
2θ = 35.82°, rel. 36, hkl 1 0 2
2θ = 55.19°, rel. 15, hkl 0 2 3
2θ = 60.91°, rel. 20, hkl 3 2 1
2θ = 66.26°, rel. 17, hkl 2 2 3

```
data_KYHg6
_chemical_formula_sum 'K1 Y1 Hg6'
_cell_length_a 5.314
_cell_length_b 6.956
_cell_length_c 5.686
_cell_angle_alpha 90.00
_cell_angle_beta 90.00
_cell_angle_gamma 90.00
_symmetry_space_group_name_H-M 'P m m 2'
_symmetry_Int_Tables_number 25
loop_
_symmetry_equiv_pos_as_xyz
'x,y,z'
'-x,-y,z'
'-x,y,z'
'x,-y,z'
loop_
_atom_site_label
_atom_site_type_symbol
_atom_site_fract_x
_atom_site_fract_y
_atom_site_fract_z
K1 K 0.000 0.000 0.000
Y1 Y 0.500 0.500 0.317
Hg1 Hg 0.000 0.267 0.494
Hg2 Hg 0.000 0.500 0.997
Hg3 Hg 0.500 0.000 0.386
Hg4 Hg 0.500 0.269 0.835
```


Record 2
Structure and computed powder X-ray diffraction pattern of Tb16Sm7Tm6 (the PBE geometry in Alexandria; Cu Kα (weighted mean of Kα1 and Kα2)).

Top 8 peaks for 10 to 90 degrees two-theta, in order of rising 2θ:
2θ = 27.70°, rel. 6, hkl 4 2 2
2θ = 29.42°, rel. 9, hkl 3 3 3
2θ = 32.09°, rel. 100, hkl 4 4 0
2θ = 33.61°, rel. 5, hkl 5 3 1
2θ = 46.02°, rel. 14, hkl 8 0 0
2θ = 57.21°, rel. 27, hkl 8 4 4
2θ = 67.12°, rel. 8, hkl 8 8 0
2θ = 76.35°, rel. 8, hkl 12 4 0

```
data_Tb16Sm7Tm6
_chemical_formula_sum 'Tb64 Sm28 Tm24'
_cell_length_a 15.777
_cell_length_b 15.777
_cell_length_c 15.777
_cell_angle_alpha 90.00
_cell_angle_beta 90.00
_cell_angle_gamma 90.00
_symmetry_space_group_name_H-M 'F m -3 m'
_symmetry_Int_Tables_number 225
_symmetry_space_group_name_Hall '-F 4 2 3'
loop_
_atom_site_label
_atom_site_type_symbol
_atom_site_fract_x
_atom_site_fract_y
_atom_site_fract_z
Tb1 Tb 0.126 0.126 0.126
Tb2 Tb 0.150 0.150 0.350
Sm1 Sm 0.000 0.000 0.000
Sm2 Sm 0.000 0.250 0.250
Tm1 Tm 0.000 0.000 0.265
```